For Pu6Pb3Au, a PBE-relaxed structure gives the simulated powder X-ray diffraction pattern in this record (Cu Kα, 1.54184 Å).
Lines closer than 0.1° are merged.

Cell and atoms:
Lattice parameters (Å, degrees): 8.115 8.115 8.115 60.00 60.00 60.00
Fractional coordinates of all 10 atoms:
Pu (0.245, 0.245, 0.755)
Pu (0.245, 0.755, 0.245)
Pu (0.245, 0.755, 0.755)
Pu (0.755, 0.245, 0.245)
Pu (0.755, 0.245, 0.755)
Pu (0.755, 0.755, 0.245)
Pb (0.250, 0.250, 0.250)
Pb (0.500, 0.500, 0.500)
Pb (0.750, 0.750, 0.750)
Au (0.000, 0.000, 0.000)

Largest 6 diffraction maxima, in order of falling intensity, 2θ from 15° to 90°:
2θ (°)  d [Å]  I/Imax
31.2  2.869  100
26.9  3.313  78
44.7  2.029  76
52.9  1.730  38
73.9  1.283  35
55.5  1.657  27